# MgFe8O8F8
Simulated powder X-ray diffraction pattern, CuKα. Input: DFT lattice parameters and positions (PBE+U).
Kinematic intensities with the Lorentz-polarization factor, no thermal factor.

Crystal structure
Cell lengths 5.1145, 5.2415, 11.8240 Å; angles 90.15, 91.59, 95.06 degrees
Sites, in units of the cell vectors:
1 Mg 0.0000 0.0000 0.0000
2 Fe 0.0778 0.3581 0.3954
3 Fe 0.4347 0.8841 0.2708
4 Fe 0.4805 0.8729 0.7641
5 Fe 0.5184 0.9816 0.0223
6 Fe 0.5558 0.9970 0.5187
7 Fe 0.8944 0.5118 0.1566
8 Fe 0.9282 0.5015 0.8841
9 Fe 0.9374 0.5198 0.6371
10 O 0.1719 0.5960 0.2707
11 O 0.1787 0.6258 0.7618
12 O 0.3199 0.1025 0.3925
13 O 0.6794 0.7882 0.1537
14 O 0.6865 0.7722 0.6367
15 O 0.7059 0.8178 0.8950
16 O 0.8016 0.2967 0.0265
17 O 0.8324 0.2714 0.5147
18 F 0.1614 0.6806 0.0288
19 F 0.2018 0.6235 0.5144
20 F 0.2572 0.0936 0.1447
21 F 0.2709 0.1114 0.8929
22 F 0.3285 0.0946 0.6414
23 F 0.6714 0.7748 0.3943
24 F 0.7606 0.2775 0.7514
25 F 0.7803 0.2579 0.2743

Largest 12 diffraction maxima, sorted by position, 2θ from 5° to 70°:
Position (°2θ)  I_rel  (hkl)
23.30  100  1 -1 0
25.49  89  1 1 0
34.67  18  1 0 -4
34.81  18  0 1 -4
34.97  19  0 1 4
35.55  18  1 0 4
38.18  17  -1 1 4
38.88  23  1 -1 4
40.42  11  1 1 4
50.89  13  2 1 -4
52.33  23  2 1 4
62.91  16  0 0 8